(1)
Diffraction record for UTi4N6. The powder X-ray diffraction pattern is calculated, not measured: it uses the PBE geometry in Alexandria and Cu Kα, 1.54184 Å.
Peak positions follow from Bragg's law for the DFT cell and can differ from measured ones.

Most intense lines, 10 to 80 degrees two-theta, low angle first:
d/Å	Position (°2θ)	I_rel	index
7.572	11.7	87	0 0 2
4.740	18.7	80	0 2 1
3.549	25.1	55	0 2 3
2.867	31.2	32	1 1 1
2.724	32.9	38	1 1 2
2.589	34.6	79	0 2 5
2.527	35.5	100	1 1 3
2.251	40.1	29	1 3 0
2.157	41.9	93	1 3 2
1.587	58.1	45	1 5 3

Structure:
a b c (Å): 3.054 9.982 15.144
angles (deg): 90.00 90.00 90.00
Space group Cmcm (No. 63)
Asymmetric unit:
1 U 0.000 0.163 0.250 [4 per cell]
2 Ti 0.000 0.095 0.626 [8 per cell]
3 Ti 0.000 0.361 0.545 [8 per cell]
4 N 0.000 0.000 0.000 [4 per cell]
5 N 0.000 0.177 0.750 [4 per cell]
6 N 0.000 0.269 0.087 [8 per cell]
7 N 0.000 0.460 0.662 [8 per cell]

---

(2)
Diffraction record for Pm3Zn2. The powder X-ray diffraction pattern is calculated, not measured: it uses the PBE geometry in Alexandria and Cu Kα, 1.54184 Å.
Peak positions follow from Bragg's law for the DFT cell and can differ from measured ones.

Most intense lines, 10 to 80 degrees two-theta, low angle first:
d/Å	Position (°2θ)	I_rel	index
3.621	24.6	17	1 0 1
3.271	27.3	10	0 0 6
2.686	33.4	100	1 0 5
2.605	34.4	56	1 1 0
2.231	40.4	8	1 0 7
2.038	44.5	11	1 1 6
1.842	49.5	20	2 0 0
1.606	57.4	12	1 0 11
1.568	58.9	10	1 1 10
1.519	61.0	35	2 1 5

Structure:
a b c (Å): 3.684 3.684 19.629
angles (deg): 90.00 90.00 90.00
Space group I4/mmm (No. 139)
Asymmetric unit:
1 Pm 0.000 0.000 0.000 [2 per cell]
2 Pm 0.000 0.000 0.181 [4 per cell]
3 Zn 0.000 0.000 0.408 [4 per cell]

---

(3)
Diffraction record for LiTm4Ge4. The powder X-ray diffraction pattern is calculated, not measured: it uses the PBE geometry in Alexandria and Cu Kα, 1.54184 Å.
Peak positions follow from Bragg's law for the DFT cell and can differ from measured ones.

Most intense lines, 10 to 80 degrees two-theta, low angle first:
d/Å	Position (°2θ)	I_rel	index
4.874	18.2	21	1 1 1
3.628	24.5	25	0 4 0
3.123	28.6	25	2 1 1
2.756	32.5	76	1 3 2
2.668	33.6	100	2 3 1
2.628	34.1	44	0 4 2
2.462	36.5	38	1 4 2
2.359	38.2	23	1 1 3
2.245	40.2	34	3 0 1
1.558	59.3	27	3 4 3

Structure:
a b c (Å): 7.046 14.513 7.623
angles (deg): 90.00 90.00 90.00
Space group Pnma (No. 62)
Asymmetric unit:
1 Li 0.161 0.250 0.024 [4 per cell]
2 Tm 0.013 0.597 0.687 [8 per cell]
3 Tm 0.171 0.628 0.175 [8 per cell]
4 Ge 0.017 0.250 0.586 [4 per cell]
5 Ge 0.169 0.037 0.966 [8 per cell]
6 Ge 0.214 0.750 0.861 [4 per cell]

---

(4)
Diffraction record for Li3YU3Se8. The powder X-ray diffraction pattern is calculated, not measured: it uses the PBE geometry in Alexandria and Cu Kα, 1.54184 Å.
Peak positions follow from Bragg's law for the DFT cell and can differ from measured ones.

Most intense lines, 10 to 80 degrees two-theta, low angle first:
d/Å	Position (°2θ)	I_rel	index
6.532	13.6	63	0 0 3
3.469	25.7	46	0 2 1
2.861	31.3	100	0 2 4
2.621	34.2	24	2 0 5
2.035	44.5	38	2 2 0
2.012	45.1	36	2 0 8
1.943	46.8	19	2 2 3
1.658	55.4	20	4 0 4
1.285	73.7	17	2 4 4
1.274	74.5	17	2 2 12

Structure:
a b c (Å): 8.1397 8.1397 19.5967
angles (deg): 90.00 90.00 120.00
Space group R-3m (No. 166, hexagonal axes)
Asymmetric unit:
1 Li 0.0000 0.5000 0.0000 [9 per cell]
2 Y 0.0000 0.0000 0.5000 [3 per cell]
3 U 0.0000 0.5000 0.5000 [9 per cell]
4 Se 0.0000 0.0000 0.2530 [6 per cell]
5 Se 0.9999 0.5000 0.2506 [18 per cell]

---

(5)
Diffraction record for MgTiTlF6. The powder X-ray diffraction pattern is calculated, not measured: it uses the PBE geometry in Alexandria and Cu Kα, 1.54184 Å.
Peak positions follow from Bragg's law for the DFT cell and can differ from measured ones.

Most intense lines, 10 to 80 degrees two-theta, low angle first:
d/Å	Position (°2θ)	I_rel	index
6.026	14.7	37	1 0 1
5.265	16.8	35	0 0 2
3.728	23.9	49	1 1 2
3.674	24.2	26	2 0 0
3.210	27.8	100	1 2 1
3.186	28.0	45	0 1 3
3.013	29.7	31	2 0 2
2.639	34.0	25	2 2 0
2.407	37.4	37	2 1 3
2.357	38.2	40	1 1 4

Structure:
a b c (Å): 7.347 7.586 10.531
angles (deg): 90.00 90.00 90.00
Space group Imma (No. 74)
Asymmetric unit:
1 Mg 0.250 0.250 0.250 [4 per cell]
2 Ti 0.000 0.000 0.000 [4 per cell]
3 Tl 0.000 0.250 0.571 [4 per cell]
4 F 0.000 0.250 0.319 [4 per cell]
5 F 0.000 0.250 0.938 [4 per cell]
6 F 0.195 0.059 0.122 [16 per cell]

---

(6)
Diffraction record for Tl8In3Hg. The powder X-ray diffraction pattern is calculated, not measured: it uses the PBE geometry in Alexandria and Cu Kα, 1.54184 Å.
Peak positions follow from Bragg's law for the DFT cell and can differ from measured ones.

Most intense lines, 10 to 80 degrees two-theta, low angle first:
d/Å	Position (°2θ)	I_rel	index
3.528	25.2	100	1 1 1
2.558	35.1	90	2 -1 2
2.436	36.9	75	3 0 0
2.005	45.2	21	4 -2 1
1.911	47.6	16	2 -1 3
1.764	51.8	30	2 2 2
1.548	59.7	19	4 1 1
1.429	65.3	30	5 -1 2
1.407	66.5	13	3 3 0
1.342	70.1	21	3 0 4

Structure:
a b c (Å): 8.4398 8.4398 6.4314
angles (deg): 90.00 90.00 120.00
Space group P-31m (No. 162)
Asymmetric unit:
1 Tl 0.0000 0.3272 0.2325 [6 per cell]
2 Tl 0.3333 0.6667 0.5000 [2 per cell]
3 In 0.0000 0.0000 0.0000 [1 per cell]
4 In 0.3333 0.6667 0.0000 [2 per cell]
5 Hg 0.0000 0.0000 0.5000 [1 per cell]

---

(7)
Diffraction record for NdSm2Er2Tm2. The powder X-ray diffraction pattern is calculated, not measured: it uses the PBE geometry in Alexandria and Cu Kα, 1.54184 Å.
Peak positions follow from Bragg's law for the DFT cell and can differ from measured ones.

Most intense lines, 10 to 80 degrees two-theta, low angle first:
d/Å	Position (°2θ)	I_rel	index
3.221	27.7	82	1 1 -1
2.924	30.6	100	6 0 -1
2.914	30.7	96	2 0 2
2.731	32.8	75	4 0 -3
2.633	34.0	95	3 1 -2
2.510	35.8	76	3 1 1
2.341	38.5	41	5 1 0
1.711	53.6	37	1 1 -4
1.658	55.4	27	9 1 -3
1.498	61.9	52	6 2 -1

Structure:
a b c (Å): 17.641 3.491 8.366
angles (deg): 90.00 116.55 90.00
Space group C2/m (No. 12)
Asymmetric unit:
1 Nd 0.000 0.000 0.000 [2 per cell]
2 Sm 0.148 0.500 0.886 [4 per cell]
3 Er 0.211 0.000 0.300 [4 per cell]
4 Tm 0.071 0.500 0.408 [4 per cell]

---

(8)
Diffraction record for Ce3Al6Pd20. The powder X-ray diffraction pattern is calculated, not measured: it uses the PBE geometry in Alexandria and Cu Kα, 1.54184 Å.
Peak positions follow from Bragg's law for the DFT cell and can differ from measured ones.

Most intense lines, 10 to 80 degrees two-theta, low angle first:
d/Å	Position (°2θ)	I_rel	index
2.794	32.0	19	4 2 0
2.550	35.2	33	4 2 2
2.405	37.4	100	3 3 3
2.209	40.9	31	4 4 0
2.112	42.8	25	5 3 1
2.082	43.5	13	6 0 0
1.884	48.3	11	6 2 2
1.472	63.1	27	6 6 0
1.443	64.6	15	5 5 5
1.275	74.4	22	8 4 4

Structure:
a b c (Å): 12.494 12.494 12.494
angles (deg): 90.00 90.00 90.00
Space group Fm-3m (No. 225)
Asymmetric unit:
1 Ce 0.000 0.000 0.000 [4 per cell]
2 Ce 0.250 0.250 0.250 [8 per cell]
3 Al 0.000 0.000 0.274 [24 per cell]
4 Pd 0.000 0.172 0.172 [48 per cell]
5 Pd 0.121 0.121 0.379 [32 per cell]

---

(9)
Diffraction record for La2Sm7Cd2. The powder X-ray diffraction pattern is calculated, not measured: it uses the PBE geometry in Alexandria and Cu Kα, 1.54184 Å.
Peak positions follow from Bragg's law for the DFT cell and can differ from measured ones.

Most intense lines, 10 to 80 degrees two-theta, low angle first:
d/Å	Position (°2θ)	I_rel	index
3.255	27.4	34	2 0 1
3.105	28.7	34	1 1 2
3.071	29.1	47	1 3 0
2.901	30.8	73	2 2 -2
2.805	31.9	58	1 1 -3
2.786	32.1	100	3 1 -1
2.766	32.4	97	1 3 1
2.753	32.5	55	0 0 3
2.724	32.9	45	2 2 1
2.629	34.1	65	1 3 -2

Structure:
a b c (Å): 8.706 9.938 8.770
angles (deg): 90.00 109.74 90.00
Space group C2/m (No. 12)
Asymmetric unit:
1 La 0.000 0.179 0.000 [4 per cell]
2 Sm 0.000 0.500 0.500 [2 per cell]
3 Sm 0.134 0.500 0.911 [4 per cell]
4 Sm 0.201 0.176 0.671 [8 per cell]
5 Cd 0.120 0.000 0.334 [4 per cell]

---

(10)
Diffraction record for Ce5O9. The powder X-ray diffraction pattern is calculated, not measured: it uses the PBE geometry in Alexandria and Cu Kα, 1.54184 Å.
Peak positions follow from Bragg's law for the DFT cell and can differ from measured ones.

Most intense lines, 10 to 80 degrees two-theta, low angle first:
d/Å	Position (°2θ)	I_rel	index
3.189	28.0	100	2 1 1
2.788	32.1	10	0 0 2
2.749	32.6	21	1 3 0
1.958	46.4	34	1 3 2
1.944	46.7	17	4 2 0
1.677	54.7	14	2 1 3
1.660	55.3	28	5 0 1
1.595	57.8	9	4 2 2
1.270	74.8	10	3 4 3
1.262	75.3	6	6 3 1

Structure:
a b c (Å): 8.694 8.694 5.576
angles (deg): 90.00 90.00 90.00
Space group I-4 (No. 82)
Asymmetric unit:
1 Ce 0.000 0.000 0.000 [2 per cell]
2 Ce 0.111 0.288 0.525 [8 per cell]
3 O 0.000 0.500 0.750 [2 per cell]
4 O 0.089 0.811 0.747 [8 per cell]
5 O 0.095 0.767 0.252 [8 per cell]

---

(11)
Diffraction record for PmPr4Ru2. The powder X-ray diffraction pattern is calculated, not measured: it uses the PBE geometry in Alexandria and Cu Kα, 1.54184 Å.
Peak positions follow from Bragg's law for the DFT cell and can differ from measured ones.

Most intense lines, 10 to 80 degrees two-theta, low angle first:
d/Å	Position (°2θ)	I_rel	index
3.356	26.6	30	0 2 0
3.058	29.2	55	1 2 0
2.998	29.8	100	2 1 -2
2.906	30.8	65	1 0 2
2.683	33.4	45	1 0 -3
2.674	33.5	46	3 0 -1
2.665	33.6	38	2 1 1
2.569	34.9	96	2 0 -3
2.491	36.1	69	0 2 2
1.995	45.5	29	0 2 3

Structure:
a b c (Å): 8.034 6.712 8.062
angles (deg): 90.00 112.59 90.00
Space group P2_1/m (No. 11)
Asymmetric unit:
1 Pm 0.162 0.250 0.030 [2 per cell]
2 Pr 0.022 0.250 0.376 [2 per cell]
3 Pr 0.238 0.750 0.319 [2 per cell]
4 Pr 0.413 0.003 0.758 [4 per cell]
5 Ru 0.254 0.750 0.985 [2 per cell]
6 Ru 0.370 0.250 0.406 [2 per cell]

---

(12)
Diffraction record for La2PmSm2Cd. The powder X-ray diffraction pattern is calculated, not measured: it uses the PBE geometry in Alexandria and Cu Kα, 1.54184 Å.
Peak positions follow from Bragg's law for the DFT cell and can differ from measured ones.

Most intense lines, 10 to 80 degrees two-theta, low angle first:
d/Å	Position (°2θ)	I_rel	index
3.178	28.1	18	2 1 0
2.935	30.5	86	0 3 1
2.919	30.6	57	0 0 2
2.793	32.0	100	2 2 0
2.688	33.3	28	1 3 1
2.522	35.6	15	2 2 1
2.150	42.0	12	2 1 2
2.019	44.9	28	2 2 2
1.688	54.3	17	0 3 3
1.660	55.4	13	2 1 3

Structure:
a b c (Å): 6.690 10.188 5.838
angles (deg): 90.00 90.00 90.00
Space group Pnnm (No. 58)
Asymmetric unit:
1 La 0.199 0.137 0.000 [4 per cell]
2 Pm 0.000 0.500 0.000 [2 per cell]
3 Sm 0.197 0.295 0.500 [4 per cell]
4 Cd 0.000 0.000 0.500 [2 per cell]